Record 1
Diffraction record for Rb3AcNb2O9. The PXRD pattern is calculated, not measured: it uses a crystal structure in Alexandria, relaxed with GGA-PBE and Cu Kα X-rays.
Intensities are scaled so that the largest is 100.

Structure:
Cell lengths 6.172, 6.172, 7.726 Å; angles 90.00, 90.00, 120.00 degrees
Fractional coordinates of all 15 atoms:
Rb  0.000  0.000  0.000
Rb  0.333  0.667  0.686
Rb  0.667  0.333  0.314
Ac  0.000  0.000  0.500
Nb  0.333  0.667  0.170
Nb  0.667  0.333  0.830
O  0.000  0.500  0.000
O  0.181  0.362  0.300
O  0.181  0.819  0.300
O  0.362  0.181  0.700
O  0.500  0.000  0.000
O  0.500  0.500  0.000
O  0.638  0.819  0.300
O  0.819  0.181  0.700
O  0.819  0.638  0.700

Most intense lines, 10 to 90 degrees two-theta, low angle first:
2theta  intensity
20.2  32
28.5  100
28.9  90
41.1  61
50.2  19
51.0  38
51.3  18
59.9  18
67.0  17
67.7  18

***

Record 2
Diffraction record for Rb4AcNb3O12. The PXRD pattern is calculated, not measured: it uses a crystal structure in Alexandria, relaxed with GGA-PBE and Cu Kα X-rays.
Intensities are scaled so that the largest is 100.

Structure:
Cell lengths 7.449, 7.449, 7.449 Å; angles 109.47, 109.47, 109.47 degrees
Fractional coordinates of all 20 atoms:
Rb  0.000  0.000  0.500
Rb  0.000  0.500  0.000
Rb  0.500  0.000  0.000
Rb  0.500  0.500  0.500
Ac  0.000  0.000  0.000
Nb  0.000  0.500  0.500
Nb  0.500  0.000  0.500
Nb  0.500  0.500  0.000
O  0.000  0.278  0.278
O  0.000  0.722  0.722
O  0.250  0.500  0.750
O  0.250  0.750  0.500
O  0.278  0.000  0.278
O  0.278  0.278  0.000
O  0.500  0.250  0.750
O  0.500  0.750  0.250
O  0.722  0.000  0.722
O  0.722  0.722  0.000
O  0.750  0.250  0.500
O  0.750  0.500  0.250

Most intense lines, 10 to 90 degrees two-theta, low angle first:
2theta  intensity
14.6  9
20.7  11
25.4  6
29.4  100
42.0  32
52.1  40
60.9  20
69.1  18
76.8  6
84.2  21

***

Record 3
Diffraction record for AcNbSi2O8. The PXRD pattern is calculated, not measured: it uses a crystal structure in Alexandria, relaxed with GGA-PBE and Cu Kα X-rays.
Intensities are scaled so that the largest is 100.

Structure:
Cell lengths 8.085, 8.085, 8.085 Å; angles 34.50, 34.50, 34.50 degrees
Fractional coordinates of all 12 atoms:
Ac  0.000  0.000  0.000
Nb  0.500  0.500  0.500
Si  0.245  0.245  0.245
Si  0.755  0.755  0.755
O  0.112  0.459  0.759
O  0.241  0.541  0.888
O  0.316  0.316  0.316
O  0.459  0.759  0.112
O  0.541  0.888  0.241
O  0.684  0.684  0.684
O  0.759  0.112  0.459
O  0.888  0.241  0.541

Most intense lines, 10 to 90 degrees two-theta, low angle first:
2theta  intensity
22.8  54
23.4  16
26.6  100
37.5  38
38.3  30
39.4  16
44.7  34
46.6  20
61.2  23
62.4  20

***

Record 4
Diffraction record for AcNbTeO4. The PXRD pattern is calculated, not measured: it uses a crystal structure in Alexandria, relaxed with GGA-PBE and Cu Kα X-rays.
Intensities are scaled so that the largest is 100.

Structure:
Cell lengths 7.350, 7.350, 7.443 Å; angles 101.74, 101.74, 56.73 degrees
Fractional coordinates of all 14 atoms:
Ac  0.210  0.210  0.330
Ac  0.790  0.790  0.670
Nb  0.128  0.128  0.751
Nb  0.872  0.872  0.249
Te  0.486  0.486  0.822
Te  0.514  0.514  0.178
O  0.019  0.019  0.283
O  0.026  0.616  0.375
O  0.193  0.193  0.000
O  0.384  0.974  0.625
O  0.616  0.026  0.375
O  0.807  0.807  0.000
O  0.974  0.384  0.625
O  0.981  0.981  0.717

Most intense lines, 10 to 90 degrees two-theta, low angle first:
2theta  intensity
20.0  44
24.6  34
24.8  100
25.4  37
25.5  74
27.2  28
29.9  27
31.4  40
35.7  26
49.8  23

***

Record 5
Diffraction record for AcNb2Se6. The PXRD pattern is calculated, not measured: it uses a crystal structure in Alexandria, relaxed with GGA-PBE and Cu Kα X-rays.
Intensities are scaled so that the largest is 100.

Structure:
Cell lengths 6.757, 6.757, 9.165 Å; angles 118.22, 118.22, 45.38 degrees
Fractional coordinates of all 9 atoms:
Ac  0.000  0.000  0.000
Nb  0.194  0.194  0.574
Nb  0.806  0.806  0.426
Se  0.027  0.027  0.682
Se  0.296  0.296  0.389
Se  0.340  0.340  0.896
Se  0.660  0.660  0.104
Se  0.704  0.704  0.611
Se  0.973  0.973  0.318

Most intense lines, 10 to 90 degrees two-theta, low angle first:
2theta  intensity
14.5  64
18.9  100
20.0  58
24.4  47
30.4  72
33.4  64
34.4  92
36.8  39
40.1  45
48.7  44

***

Record 6
Diffraction record for Ac2Nd. The PXRD pattern is calculated, not measured: it uses a crystal structure in Alexandria, relaxed with GGA-PBE and Cu Kα X-rays.
Intensities are scaled so that the largest is 100.

Structure:
Cell lengths 7.743, 7.743, 9.575 Å; angles 90.01, 90.01, 60.29 degrees
Fractional coordinates of all 12 atoms:
Ac  0.000  0.000  0.000
Ac  0.165  0.664  0.335
Ac  0.167  0.167  0.330
Ac  0.336  0.835  0.665
Ac  0.500  0.500  0.000
Ac  0.664  0.165  0.335
Ac  0.833  0.833  0.670
Ac  0.835  0.336  0.665
Nd  0.000  0.500  0.000
Nd  0.334  0.334  0.674
Nd  0.500  0.000  0.000
Nd  0.666  0.666  0.326

Most intense lines, 10 to 90 degrees two-theta, low angle first:
2theta  intensity
28.0  49
28.1  97
28.2  48
32.6  100
46.6  38
46.9  25
55.2  23
55.3  15
55.5  45
58.2  13

***

Record 7
Diffraction record for Ac5Nd7. The PXRD pattern is calculated, not measured: it uses a crystal structure in Alexandria, relaxed with GGA-PBE and Cu Kα X-rays.
Intensities are scaled so that the largest is 100.

Structure:
Cell lengths 10.107, 10.107, 14.019 Å; angles 117.86, 117.86, 21.92 degrees
Fractional coordinates of all 12 atoms:
Ac  0.000  0.000  0.000
Ac  0.163  0.163  0.494
Ac  0.306  0.306  0.247
Ac  0.694  0.694  0.753
Ac  0.837  0.837  0.506
Nd  0.027  0.027  0.751
Nd  0.335  0.335  0.004
Nd  0.362  0.362  0.753
Nd  0.500  0.500  0.500
Nd  0.638  0.638  0.247
Nd  0.665  0.665  0.996
Nd  0.973  0.973  0.249

Most intense lines, 10 to 90 degrees two-theta, low angle first:
2theta  intensity
27.8  32
27.9  15
29.0  40
30.6  100
30.7  20
34.7  22
47.5  21
52.3  13
56.4  13
57.4  14

***

Record 8
Diffraction record for Ac5Nd6. The PXRD pattern is calculated, not measured: it uses a crystal structure in Alexandria, relaxed with GGA-PBE and Cu Kα X-rays.
Intensities are scaled so that the largest is 100.

Structure:
Cell lengths 8.380, 8.380, 6.616 Å; angles 96.67, 96.67, 84.21 degrees
Fractional coordinates of all 11 atoms:
Ac  0.000  0.000  0.000
Ac  0.172  0.828  0.500
Ac  0.336  0.664  0.000
Ac  0.664  0.336  0.000
Ac  0.828  0.172  0.500
Nd  0.079  0.412  0.237
Nd  0.250  0.250  0.739
Nd  0.412  0.079  0.237
Nd  0.588  0.921  0.763
Nd  0.750  0.750  0.261
Nd  0.921  0.588  0.763

Most intense lines, 10 to 90 degrees two-theta, low angle first:
2theta  intensity
28.9  100
29.1  33
33.0  24
33.9  44
47.9  17
48.1  17
48.6  16
56.5  10
57.5  20
57.7  20

***

Record 9
Diffraction record for Ac7Nd3. The PXRD pattern is calculated, not measured: it uses a crystal structure in Alexandria, relaxed with GGA-PBE and Cu Kα X-rays.
Intensities are scaled so that the largest is 100.

Structure:
Cell lengths 10.313, 10.313, 7.772 Å; angles 101.32, 101.32, 31.20 degrees
Fractional coordinates of all 10 atoms:
Ac  0.000  0.000  0.000
Ac  0.201  0.201  0.604
Ac  0.398  0.398  0.196
Ac  0.401  0.401  0.699
Ac  0.599  0.599  0.301
Ac  0.602  0.602  0.804
Ac  0.799  0.799  0.396
Nd  0.000  0.000  0.500
Nd  0.202  0.202  0.101
Nd  0.798  0.798  0.899

Most intense lines, 10 to 90 degrees two-theta, low angle first:
2theta  intensity
28.0  100
32.3  17
32.4  17
32.7  17
46.4  13
46.6  19
55.0  8
55.2  16
55.6  15
57.9  14

***

Record 10
Diffraction record for Ac13Nd2. The PXRD pattern is calculated, not measured: it uses a crystal structure in Alexandria, relaxed with GGA-PBE and Cu Kα X-rays.
Intensities are scaled so that the largest is 100.

Structure:
Cell lengths 7.355, 9.926, 9.936 Å; angles 66.39, 82.18, 82.23 degrees
Fractional coordinates of all 15 atoms:
Ac  0.000  0.000  0.000
Ac  0.097  0.440  0.753
Ac  0.201  0.200  0.200
Ac  0.288  0.972  0.627
Ac  0.297  0.634  0.965
Ac  0.402  0.399  0.401
Ac  0.494  0.833  0.172
Ac  0.506  0.167  0.828
Ac  0.598  0.601  0.599
Ac  0.703  0.366  0.035
Ac  0.712  0.028  0.373
Ac  0.799  0.800  0.800
Ac  0.903  0.560  0.247
Nd  0.102  0.769  0.430
Nd  0.898  0.231  0.570

Most intense lines, 10 to 90 degrees two-theta, low angle first:
2theta  intensity
28.4  100
37.0  5
40.7  19
50.4  22
50.4  9
56.1  17
58.9  5
66.7  5
71.5  5
81.1  7